This entry pairs a crystal structure of SmNi3 with its theoretical X-ray diffraction stick pattern. Radiation: Cu Kα (λ = 1.5418 Å). Structure: a cell relaxed with PBE.

Top 10 peaks for 2θ = 10–90°, in order of rising 2θ:
2θ 32.79, rel. 45; 2θ 35.82, rel. 84; 2θ 41.79, rel. 36; 2θ 42.27, rel. 100; 2θ 44.22, rel. 20; 2θ 45.67, rel. 28; 2θ 64.36, rel. 15; 2θ 68.74, rel. 14; 2θ 68.81, rel. 20; 2θ 75.95, rel. 20

Structure:
Lattice parameters (Å, degrees): 5.0117 5.0117 24.5962 90.00 90.00 120.00
Space group R-3m (No. 166, hexagonal axes)
Inequivalent atoms, fractional coordinates:
Sm1 0.0000 0.0000 0.0000
Sm2 0.0000 0.0000 0.1389
Ni1 0.0000 0.0000 0.3329
Ni2 0.0000 0.0000 0.5000
Ni3 0.0010 0.5005 0.0813